1.
This entry pairs a crystal structure of DyUCl6 with its simulated PXRD pattern. Radiation: CuKα. Structure: a PBE-relaxed structure.
Intensities are scaled so that the largest is 100.

Main lines, by intensity (2θ = 5–70°):
2θ (°)	I/Imax	h k l
17.6	100	0 1 2
38.9	41	2 -1 6
24.2	39	1 0 4
41.2	21	3 -2 2
35.7	20	0 2 4
25.9	19	1 1 0
31.5	18	2 0 2
45.6	18	3 0 0

Crystal structure
```
data_DyUCl6
_chemical_formula_sum 'Dy3 U3 Cl18'
_cell_length_a 6.8865
_cell_length_b 6.8865
_cell_length_c 18.7462
_cell_angle_alpha 90.00
_cell_angle_beta 90.00
_cell_angle_gamma 120.00
_space_group_name_H-M_alt 'R -3'
_space_group_IT_number 148
_space_group_name_Hall '-R 3'
loop_
_atom_site_label
_atom_site_type_symbol
_atom_site_fract_x
_atom_site_fract_y
_atom_site_fract_z
Dy1 Dy 0.0000 0.0000 0.0000
U1 U 0.0000 0.0000 0.5000
Cl1 Cl 0.0077 0.3615 0.7482
```

2.
This entry pairs a crystal structure of ErGaSnCl6 with its simulated PXRD pattern. Radiation: CuKα. Structure: a PBE-relaxed structure.
Intensities are scaled so that the largest is 100.

Main lines, by intensity (2θ = 5–70°):
2θ (°)	I/Imax	h k l
18.7	100	1 1 0
36.8	83	2 1 3
24.9	58	1 0 3
46.0	35	3 0 3
38.0	29	2 2 0
15.0	22	1 0 1
28.3	19	1 1 3
47.1	18	1 1 6

Crystal structure
```
data_ErGaSnCl6
_chemical_formula_sum 'Er2 Ga2 Sn2 Cl12'
_cell_length_a 6.6938
_cell_length_b 6.6938
_cell_length_c 12.6637
_cell_angle_alpha 90.00
_cell_angle_beta 90.00
_cell_angle_gamma 90.00
_space_group_name_H-M_alt 'P 42 n m'
_space_group_IT_number 102
loop_
_space_group_symop_operation_xyz
'x,y,z'
'-y+1/2,x+1/2,z+1/2'
'-x,-y,z'
'y+1/2,-x+1/2,z+1/2'
'-x+1/2,y+1/2,z+1/2'
'y,x,z'
'x+1/2,-y+1/2,z+1/2'
'-y,-x,z'
loop_
_atom_site_label
_atom_site_type_symbol
_atom_site_fract_x
_atom_site_fract_y
_atom_site_fract_z
Er1 Er 0.0000 0.0000 0.0000
Ga1 Ga 0.0000 0.0000 0.6681
Sn1 Sn 0.0000 0.0000 0.3345
Cl1 Cl 0.1824 0.1824 0.1585
Cl2 Cl 0.1948 0.1948 0.8509
Cl3 Cl 0.2223 0.2223 0.4944
```

3.
This entry pairs a crystal structure of ErICl2 with its simulated PXRD pattern. Radiation: CuKα. Structure: a PBE-relaxed structure.
Intensities are scaled so that the largest is 100.

Main lines, by intensity (2θ = 5–70°):
2θ (°)	I/Imax	h k l
14.8	100	1 1 0
21.0	73	0 2 1
33.3	58	1 3 1
26.5	44	2 0 -2
34.7	28	3 1 -2
40.8	26	3 3 -1
40.3	23	2 2 -3
15.3	22	0 2 0

Crystal structure
```
data_ErICl2
_chemical_formula_sum 'Er4 I4 Cl8'
_cell_length_a 8.2355
_cell_length_b 11.5659
_cell_length_c 7.3014
_cell_angle_alpha 90.00
_cell_angle_beta 121.96
_cell_angle_gamma 90.00
_space_group_name_H-M_alt 'C 1 c 1'
_space_group_IT_number 9
loop_
_space_group_symop_operation_xyz
'x,y,z'
'x,-y,z+1/2'
'x+1/2,y+1/2,z'
'x+1/2,-y+1/2,z+1/2'
loop_
_atom_site_label
_atom_site_type_symbol
_atom_site_fract_x
_atom_site_fract_y
_atom_site_fract_z
Er1 Er 0.0000 0.0924 0.0000
I1 I 0.2396 0.1013 0.7995
Cl1 Cl 0.2374 0.2499 0.2709
Cl2 Cl 0.3052 0.4423 0.6893
```

4.
This entry pairs a crystal structure of NaErIn2Cl6 with its simulated PXRD pattern. Radiation: CuKα. Structure: a PBE-relaxed structure.
Intensities are scaled so that the largest is 100.

Main lines, by intensity (2θ = 5–70°):
2θ (°)	I/Imax	h k l
23.5	100	1 0 4
23.6	99	1 1 0
33.5	97	0 2 4
14.4	63	1 0 1
41.4	55	3 -1 4
27.7	53	2 -1 3
37.5	51	2 -1 6
41.6	43	3 0 0

Crystal structure
```
data_NaErIn2Cl6
_chemical_formula_sum 'Na3 Er3 In6 Cl18'
_cell_length_a 7.5277
_cell_length_b 7.5277
_cell_length_c 18.6531
_cell_angle_alpha 90.00
_cell_angle_beta 90.00
_cell_angle_gamma 120.00
_space_group_name_H-M_alt 'R 3'
_space_group_IT_number 146
_space_group_name_Hall 'R 3'
loop_
_atom_site_label
_atom_site_type_symbol
_atom_site_fract_x
_atom_site_fract_y
_atom_site_fract_z
Na1 Na 0.0000 0.0000 0.0000
Er1 Er 0.0000 0.0000 0.4950
In1 In 0.0000 0.0000 0.2766
In2 In 0.0000 0.0000 0.7811
Cl1 Cl 0.0041 0.4330 0.2368
Cl2 Cl 0.1007 0.7408 0.0749
```

5.
This entry pairs a crystal structure of KErTl2Cl6 with its simulated PXRD pattern. Radiation: CuKα. Structure: a PBE-relaxed structure.
Intensities are scaled so that the largest is 100.

Main lines, by intensity (2θ = 5–70°):
2θ (°)	I/Imax	h k l
22.4	100	1 0 4
22.9	99	1 1 0
32.3	61	0 2 4
35.9	56	2 -1 6
39.9	53	3 -1 4
16.0	43	0 1 2
40.2	42	3 0 0
13.9	26	1 0 1

Crystal structure
```
data_KErTl2Cl6
_chemical_formula_sum 'K3 Er3 Tl6 Cl18'
_cell_length_a 7.7732
_cell_length_b 7.7732
_cell_length_c 19.5992
_cell_angle_alpha 90.00
_cell_angle_beta 90.00
_cell_angle_gamma 120.00
_space_group_name_H-M_alt 'R 3'
_space_group_IT_number 146
_space_group_name_Hall 'R 3'
loop_
_atom_site_label
_atom_site_type_symbol
_atom_site_fract_x
_atom_site_fract_y
_atom_site_fract_z
K1 K 0.0000 0.0000 0.0000
Er1 Er 0.0000 0.0000 0.4930
Tl1 Tl 0.0000 0.0000 0.2804
Tl2 Tl 0.0000 0.0000 0.7864
Cl1 Cl 0.0223 0.4177 0.2312
Cl2 Cl 0.0860 0.7028 0.0758
```

6.
This entry pairs a crystal structure of RbLiEr2Cl8 with its simulated PXRD pattern. Radiation: CuKα. Structure: a PBE-relaxed structure.
Intensities are scaled so that the largest is 100.

Main lines, by intensity (2θ = 5–70°):
2θ (°)	I/Imax	h k l
17.4	100	1 0 -1
13.0	60	0 0 1
19.9	57	1 0 1
13.4	57	1 0 0
27.9	52	1 2 -1
35.9	45	2 2 -1
25.4	41	1 2 0
35.6	34	1 2 -2

Crystal structure
```
data_RbLiEr2Cl8
_chemical_formula_sum 'Rb1 Li1 Er2 Cl8'
_cell_length_a 6.6866
_cell_length_b 8.2514
_cell_length_c 6.8458
_cell_angle_alpha 90.00
_cell_angle_beta 97.42
_cell_angle_gamma 90.00
_space_group_name_H-M_alt 'P 1 2/m 1'
_space_group_IT_number 10
loop_
_space_group_symop_operation_xyz
'x,y,z'
'-x,-y,-z'
'-x,y,-z'
'x,-y,z'
loop_
_atom_site_label
_atom_site_type_symbol
_atom_site_fract_x
_atom_site_fract_y
_atom_site_fract_z
Rb1 Rb 0.0000 0.0000 0.0000
Li1 Li 0.0000 0.5000 0.0000
Er1 Er 0.5000 0.2601 0.5000
Cl1 Cl 0.2315 0.2905 0.1962
Cl2 Cl 0.3054 0.5000 0.6574
Cl3 Cl 0.3164 0.0000 0.6437
```

7.
This entry pairs a crystal structure of RbErMg2Cl8 with its simulated PXRD pattern. Radiation: CuKα. Structure: a PBE-relaxed structure.
Intensities are scaled so that the largest is 100.

Main lines, by intensity (2θ = 5–70°):
2θ (°)	I/Imax	h k l
17.9	100	1 1 0
14.2	89	0 1 0
29.3	56	2 1 0
30.5	52	1 -1 2
30.0	51	-1 1 2
22.1	50	1 -1 0
22.5	40	0 1 2
15.7	39	0 1 1

Crystal structure
```
data_RbErMg2Cl8
_chemical_formula_sum 'Rb1 Er1 Mg2 Cl8'
_cell_length_a 6.5438
_cell_length_b 6.5760
_cell_length_c 9.1145
_cell_angle_alpha 76.04
_cell_angle_beta 77.19
_cell_angle_gamma 75.80
_space_group_name_H-M_alt 'P -1'
_space_group_IT_number 2
loop_
_space_group_symop_operation_xyz
'x,y,z'
'-x,-y,-z'
loop_
_atom_site_label
_atom_site_type_symbol
_atom_site_fract_x
_atom_site_fract_y
_atom_site_fract_z
Rb1 Rb 0.0000 0.0000 0.0000
Er1 Er 0.0000 0.0000 0.5000
Mg1 Mg 0.4575 0.4494 0.2115
Cl1 Cl 0.1885 0.7291 0.7213
Cl2 Cl 0.2406 0.7813 0.2930
Cl3 Cl 0.2812 0.2391 0.4478
Cl4 Cl 0.3619 0.3140 0.0188
```